[1]
Starting from a structure optimized by DFT (GGA-PBE), the PXRD pattern of Be2Hg was computed for Cu Kα (weighted mean of Kα1 and Kα2).

```
data_Be2Hg
_cell_length_a 4.775
_cell_length_b 4.775
_cell_length_c 4.775
_cell_angle_alpha 60.00
_cell_angle_beta 60.00
_cell_angle_gamma 60.00
_symmetry_space_group_name_H-M 'P 1'
_symmetry_Int_Tables_number 1
loop_
_symmetry_equiv_pos_as_xyz
'x,y,z'
loop_
_atom_site_label
_atom_site_type_symbol
_atom_site_fract_x
_atom_site_fract_y
_atom_site_fract_z
Be1 Be 0.000 0.000 0.000
Be2 Be 0.000 0.000 0.500
Be3 Be 0.000 0.500 0.000
Be4 Be 0.500 0.000 0.000
Hg1 Hg 0.375 0.375 0.375
Hg2 Hg 0.625 0.625 0.625
```

Largest 9 diffraction maxima, in order of rising 2θ, 10 to 90 degrees two-theta:
- 2θ = 22.81°, 3.899 Å, I 100
- 2θ = 37.68°, 2.388 Å, I 95
- 2θ = 44.50°, 2.036 Å, I 65
- 2θ = 54.34°, 1.688 Å, I 15
- 2θ = 59.68°, 1.549 Å, I 23
- 2θ = 68.01°, 1.378 Å, I 34
- 2θ = 72.77°, 1.300 Å, I 21
- 2θ = 80.45°, 1.194 Å, I 12
- 2θ = 84.96°, 1.141 Å, I 18


[2]
Starting from a structure optimized by DFT (GGA-PBE), the PXRD pattern of Na2Be2Hg3 was computed for Cu Kα (weighted mean of Kα1 and Kα2).

```
data_Na2Be2Hg3
_cell_length_a 8.397
_cell_length_b 8.397
_cell_length_c 8.397
_cell_angle_alpha 31.77
_cell_angle_beta 31.77
_cell_angle_gamma 31.77
_symmetry_space_group_name_H-M 'P 1'
_symmetry_Int_Tables_number 1
loop_
_symmetry_equiv_pos_as_xyz
'x,y,z'
loop_
_atom_site_label
_atom_site_type_symbol
_atom_site_fract_x
_atom_site_fract_y
_atom_site_fract_z
Na1 Na 0.000 0.000 0.000
Na2 Na 0.485 0.485 0.485
Be1 Be 0.258 0.258 0.258
Be2 Be 0.734 0.734 0.734
Hg1 Hg 0.371 0.371 0.371
Hg2 Hg 0.610 0.610 0.610
Hg3 Hg 0.870 0.870 0.870
```

Largest 10 diffraction maxima, in order of rising 2θ, 10 to 90 degrees two-theta:
- 2θ = 11.11°, 7.967 Å, I 32
- 2θ = 22.64°, 3.927 Å, I 21
- 2θ = 23.56°, 3.777 Å, I 22
- 2θ = 26.91°, 3.313 Å, I 100
- 2θ = 37.64°, 2.389 Å, I 60
- 2θ = 39.20°, 2.298 Å, I 58
- 2θ = 48.19°, 1.888 Å, I 22
- 2θ = 55.47°, 1.656 Å, I 20
- 2θ = 63.79°, 1.459 Å, I 19
- 2θ = 70.02°, 1.344 Å, I 20


[3]
Starting from a structure optimized by DFT (GGA-PBE), the PXRD pattern of BeNi2Hg was computed for Cu Kα (weighted mean of Kα1 and Kα2).

```
data_BeNi2Hg
_cell_length_a 5.854
_cell_length_b 5.854
_cell_length_c 5.854
_cell_angle_alpha 90.00
_cell_angle_beta 90.00
_cell_angle_gamma 90.00
_symmetry_space_group_name_H-M 'P 1'
_symmetry_Int_Tables_number 1
loop_
_symmetry_equiv_pos_as_xyz
'x,y,z'
loop_
_atom_site_label
_atom_site_type_symbol
_atom_site_fract_x
_atom_site_fract_y
_atom_site_fract_z
Be1 Be 0.000 0.000 0.000
Be2 Be 0.000 0.500 0.500
Be3 Be 0.500 0.000 0.500
Be4 Be 0.500 0.500 0.000
Ni1 Ni 0.000 0.000 0.500
Ni2 Ni 0.000 0.500 0.000
Ni3 Ni 0.250 0.250 0.750
Ni4 Ni 0.250 0.750 0.250
Ni5 Ni 0.500 0.000 0.000
Ni6 Ni 0.500 0.500 0.500
Ni7 Ni 0.750 0.250 0.250
Ni8 Ni 0.750 0.750 0.750
Hg1 Hg 0.250 0.250 0.250
Hg2 Hg 0.250 0.750 0.750
Hg3 Hg 0.750 0.250 0.750
Hg4 Hg 0.750 0.750 0.250
```

Largest 10 diffraction maxima, in order of rising 2θ, 10 to 90 degrees two-theta:
- 2θ = 26.37°, 3.380 Å, I 48
- 2θ = 30.54°, 2.927 Å, I 44
- 2θ = 43.74°, 2.070 Å, I 100
- 2θ = 51.80°, 1.765 Å, I 24
- 2θ = 54.29°, 1.690 Å, I 12
- 2θ = 63.58°, 1.463 Å, I 16
- 2θ = 70.07°, 1.343 Å, I 10
- 2θ = 72.17°, 1.309 Å, I 16
- 2θ = 80.36°, 1.195 Å, I 33
- 2θ = 86.36°, 1.127 Å, I 8


[4]
Starting from a structure optimized by DFT (GGA-PBE), the PXRD pattern of BeHgSe2 was computed for Cu Kα (weighted mean of Kα1 and Kα2).

```
data_BeHgSe2
_cell_length_a 3.947
_cell_length_b 3.947
_cell_length_c 5.968
_cell_angle_alpha 90.00
_cell_angle_beta 90.00
_cell_angle_gamma 90.00
_symmetry_space_group_name_H-M 'P 1'
_symmetry_Int_Tables_number 1
loop_
_symmetry_equiv_pos_as_xyz
'x,y,z'
loop_
_atom_site_label
_atom_site_type_symbol
_atom_site_fract_x
_atom_site_fract_y
_atom_site_fract_z
Be1 Be 0.000 0.000 0.000
Hg1 Hg 0.500 0.500 0.500
Se1 Se 0.000 0.500 0.196
Se2 Se 0.500 0.000 0.804
```

Largest 10 diffraction maxima, in order of rising 2θ, 10 to 90 degrees two-theta:
- 2θ = 14.84°, 5.968 Å, I 28
- 2θ = 22.53°, 3.947 Å, I 44
- 2θ = 27.08°, 3.292 Å, I 100
- 2θ = 35.51°, 2.528 Å, I 46
- 2θ = 37.79°, 2.380 Å, I 31
- 2θ = 44.44°, 2.038 Å, I 44
- 2θ = 45.99°, 1.974 Å, I 24
- 2θ = 54.18°, 1.693 Å, I 29
- 2θ = 60.98°, 1.519 Å, I 15
- 2θ = 67.06°, 1.396 Å, I 15


[5]
Starting from a structure optimized by DFT (GGA-PBE), the PXRD pattern of HoBe4 was computed for Cu Kα (weighted mean of Kα1 and Kα2).

```
data_HoBe4
_cell_length_a 3.127
_cell_length_b 3.127
_cell_length_c 13.254
_cell_angle_alpha 90.00
_cell_angle_beta 90.00
_cell_angle_gamma 90.00
_symmetry_space_group_name_H-M 'P 1'
_symmetry_Int_Tables_number 1
loop_
_symmetry_equiv_pos_as_xyz
'x,y,z'
loop_
_atom_site_label
_atom_site_type_symbol
_atom_site_fract_x
_atom_site_fract_y
_atom_site_fract_z
Ho1 Ho 0.250 0.250 0.191
Ho2 Ho 0.750 0.750 0.809
Be1 Be 0.250 0.250 0.498
Be2 Be 0.250 0.750 0.000
Be3 Be 0.250 0.750 0.383
Be4 Be 0.250 0.750 0.617
Be5 Be 0.750 0.250 0.000
Be6 Be 0.750 0.250 0.383
Be7 Be 0.750 0.250 0.617
Be8 Be 0.750 0.750 0.502
```

Largest 10 diffraction maxima, in order of rising 2θ, 10 to 90 degrees two-theta:
- 2θ = 13.36°, 6.627 Å, I 71
- 2θ = 20.10°, 4.418 Å, I 51
- 2θ = 29.35°, 3.043 Å, I 100
- 2θ = 31.64°, 2.828 Å, I 42
- 2θ = 33.81°, 2.651 Å, I 21
- 2θ = 39.63°, 2.274 Å, I 51
- 2θ = 40.82°, 2.211 Å, I 25
- 2θ = 43.13°, 2.097 Å, I 23
- 2θ = 45.90°, 1.977 Å, I 34
- 2θ = 67.33°, 1.391 Å, I 19


[6]
Starting from a structure optimized by DFT (GGA-PBE), the PXRD pattern of Ho2Be2SiO7 was computed for Cu Kα (weighted mean of Kα1 and Kα2).

```
data_Ho2Be2SiO7
_cell_length_a 7.254
_cell_length_b 7.254
_cell_length_c 4.733
_cell_angle_alpha 90.00
_cell_angle_beta 90.00
_cell_angle_gamma 90.00
_symmetry_space_group_name_H-M 'P 1'
_symmetry_Int_Tables_number 1
loop_
_symmetry_equiv_pos_as_xyz
'x,y,z'
loop_
_atom_site_label
_atom_site_type_symbol
_atom_site_fract_x
_atom_site_fract_y
_atom_site_fract_z
Ho1 Ho 0.158 0.342 0.007
Ho2 Ho 0.342 0.842 0.993
Ho3 Ho 0.658 0.158 0.993
Ho4 Ho 0.842 0.658 0.007
Be1 Be 0.138 0.638 0.541
Be2 Be 0.362 0.138 0.459
Be3 Be 0.638 0.862 0.459
Be4 Be 0.862 0.362 0.541
Si1 Si 0.000 0.000 0.500
Si2 Si 0.500 0.500 0.500
O1 O 0.000 0.500 0.681
O2 O 0.082 0.837 0.703
O3 O 0.142 0.642 0.207
O4 O 0.163 0.082 0.297
O5 O 0.337 0.582 0.703
O6 O 0.358 0.142 0.793
O7 O 0.418 0.337 0.297
O8 O 0.500 0.000 0.319
O9 O 0.582 0.663 0.297
O10 O 0.642 0.858 0.793
O11 O 0.663 0.418 0.703
O12 O 0.837 0.918 0.297
O13 O 0.858 0.358 0.207
O14 O 0.918 0.163 0.703
```

Largest 10 diffraction maxima, in order of rising 2θ, 10 to 90 degrees two-theta:
- 2θ = 18.75°, 4.733 Å, I 55
- 2θ = 25.61°, 3.479 Å, I 25
- 2θ = 27.50°, 3.244 Å, I 53
- 2θ = 31.06°, 2.879 Å, I 27
- 2θ = 33.49°, 2.676 Å, I 100
- 2θ = 39.28°, 2.294 Å, I 17
- 2θ = 43.86°, 2.064 Å, I 19
- 2θ = 47.56°, 1.912 Å, I 42
- 2θ = 55.78°, 1.648 Å, I 32
- 2θ = 57.29°, 1.608 Å, I 19


[7]
Starting from a structure optimized by DFT (GGA-PBE), the PXRD pattern of TbHoBe was computed for Cu Kα (weighted mean of Kα1 and Kα2).

```
data_TbHoBe
_cell_length_a 6.697
_cell_length_b 6.697
_cell_length_c 6.697
_cell_angle_alpha 90.00
_cell_angle_beta 90.00
_cell_angle_gamma 90.00
_symmetry_space_group_name_H-M 'P 1'
_symmetry_Int_Tables_number 1
loop_
_symmetry_equiv_pos_as_xyz
'x,y,z'
loop_
_atom_site_label
_atom_site_type_symbol
_atom_site_fract_x
_atom_site_fract_y
_atom_site_fract_z
Tb1 Tb 0.000 0.000 0.000
Tb2 Tb 0.000 0.500 0.500
Tb3 Tb 0.500 0.000 0.500
Tb4 Tb 0.500 0.500 0.000
Ho1 Ho 0.250 0.250 0.750
Ho2 Ho 0.250 0.750 0.250
Ho3 Ho 0.750 0.250 0.250
Ho4 Ho 0.750 0.750 0.750
Be1 Be 0.000 0.000 0.500
Be2 Be 0.000 0.500 0.000
Be3 Be 0.500 0.000 0.000
Be4 Be 0.500 0.500 0.500
```

Largest 9 diffraction maxima, in order of rising 2θ, 10 to 90 degrees two-theta:
- 2θ = 23.00°, 3.867 Å, I 100
- 2θ = 38.00°, 2.368 Å, I 89
- 2θ = 44.89°, 2.019 Å, I 52
- 2θ = 54.83°, 1.674 Å, I 15
- 2θ = 60.23°, 1.536 Å, I 22
- 2θ = 68.66°, 1.367 Å, I 32
- 2θ = 73.47°, 1.289 Å, I 16
- 2θ = 81.26°, 1.184 Å, I 10
- 2θ = 85.85°, 1.132 Å, I 16


[8]
Starting from a structure optimized by DFT (GGA-PBE), the PXRD pattern of BeZnI4 was computed for Cu Kα (weighted mean of Kα1 and Kα2).

```
data_BeZnI4
_cell_length_a 6.425
_cell_length_b 6.671
_cell_length_c 12.482
_cell_angle_alpha 90.00
_cell_angle_beta 90.00
_cell_angle_gamma 90.00
_symmetry_space_group_name_H-M 'P 1'
_symmetry_Int_Tables_number 1
loop_
_symmetry_equiv_pos_as_xyz
'x,y,z'
loop_
_atom_site_label
_atom_site_type_symbol
_atom_site_fract_x
_atom_site_fract_y
_atom_site_fract_z
Be1 Be 0.000 0.000 0.000
Be2 Be 0.500 0.500 0.500
Zn1 Zn 0.000 0.500 0.500
Zn2 Zn 0.500 0.000 0.000
I1 I 0.227 0.209 0.111
I2 I 0.227 0.791 0.889
I3 I 0.273 0.291 0.611
I4 I 0.273 0.709 0.389
I5 I 0.727 0.291 0.389
I6 I 0.727 0.709 0.611
I7 I 0.773 0.209 0.889
I8 I 0.773 0.791 0.111
```

Largest 10 diffraction maxima, in order of rising 2θ, 10 to 90 degrees two-theta:
- 2θ = 15.06°, 5.883 Å, I 21
- 2θ = 23.94°, 3.717 Å, I 100
- 2θ = 26.73°, 3.335 Å, I 11
- 2θ = 27.77°, 3.213 Å, I 12
- 2θ = 28.61°, 3.120 Å, I 11
- 2θ = 38.92°, 2.314 Å, I 15
- 2θ = 39.55°, 2.279 Å, I 14
- 2θ = 40.29°, 2.238 Å, I 15
- 2θ = 46.87°, 1.938 Å, I 14
- 2θ = 47.95°, 1.897 Å, I 12


[9]
Starting from a structure optimized by DFT (GGA-PBE), the PXRD pattern of BeNb2In was computed for Cu Kα (weighted mean of Kα1 and Kα2).

```
data_BeNb2In
_cell_length_a 6.521
_cell_length_b 6.521
_cell_length_c 6.521
_cell_angle_alpha 90.00
_cell_angle_beta 90.00
_cell_angle_gamma 90.00
_symmetry_space_group_name_H-M 'P 1'
_symmetry_Int_Tables_number 1
loop_
_symmetry_equiv_pos_as_xyz
'x,y,z'
loop_
_atom_site_label
_atom_site_type_symbol
_atom_site_fract_x
_atom_site_fract_y
_atom_site_fract_z
Be1 Be 0.000 0.000 0.000
Be2 Be 0.000 0.500 0.500
Be3 Be 0.500 0.000 0.500
Be4 Be 0.500 0.500 0.000
Nb1 Nb 0.000 0.000 0.500
Nb2 Nb 0.000 0.500 0.000
Nb3 Nb 0.250 0.250 0.250
Nb4 Nb 0.250 0.750 0.750
Nb5 Nb 0.500 0.000 0.000
Nb6 Nb 0.500 0.500 0.500
Nb7 Nb 0.750 0.250 0.750
Nb8 Nb 0.750 0.750 0.250
In1 In 0.250 0.250 0.750
In2 In 0.250 0.750 0.250
In3 In 0.750 0.250 0.250
In4 In 0.750 0.750 0.750
```

Largest 10 diffraction maxima, in order of rising 2θ, 10 to 90 degrees two-theta:
- 2θ = 23.63°, 3.765 Å, I 21
- 2θ = 27.35°, 3.260 Å, I 16
- 2θ = 39.07°, 2.305 Å, I 100
- 2θ = 46.17°, 1.966 Å, I 11
- 2θ = 48.35°, 1.882 Å, I 4
- 2θ = 56.44°, 1.630 Å, I 17
- 2θ = 62.04°, 1.496 Å, I 4
- 2θ = 63.84°, 1.458 Å, I 6
- 2θ = 70.78°, 1.331 Å, I 33
- 2θ = 83.94°, 1.153 Å, I 10


[10]
Starting from a structure optimized by DFT (GGA-PBE), the PXRD pattern of Be2NbIn2 was computed for Cu Kα (weighted mean of Kα1 and Kα2).

```
data_Be2NbIn2
_cell_length_a 7.654
_cell_length_b 7.654
_cell_length_c 7.654
_cell_angle_alpha 139.31
_cell_angle_beta 139.31
_cell_angle_gamma 58.90
_symmetry_space_group_name_H-M 'P 1'
_symmetry_Int_Tables_number 1
loop_
_symmetry_equiv_pos_as_xyz
'x,y,z'
loop_
_atom_site_label
_atom_site_type_symbol
_atom_site_fract_x
_atom_site_fract_y
_atom_site_fract_z
Be1 Be 0.000 0.000 0.000
Be2 Be 0.000 0.000 0.500
Be3 Be 0.000 0.500 0.000
Be4 Be 0.500 0.000 0.500
Nb1 Nb 0.375 0.625 0.750
Nb2 Nb 0.625 0.375 0.250
In1 In 0.164 0.414 0.750
In2 In 0.414 0.164 0.250
In3 In 0.586 0.836 0.750
In4 In 0.836 0.586 0.250
```

Largest 10 diffraction maxima, in order of rising 2θ, 10 to 90 degrees two-theta:
- 2θ = 17.95°, 4.942 Å, I 89
- 2θ = 26.75°, 3.333 Å, I 39
- 2θ = 27.21°, 3.277 Å, I 39
- 2θ = 33.68°, 2.661 Å, I 100
- 2θ = 37.74°, 2.384 Å, I 70
- 2θ = 38.42°, 2.343 Å, I 33
- 2θ = 43.52°, 2.079 Å, I 46
- 2θ = 48.38°, 1.881 Å, I 33
- 2θ = 51.47°, 1.775 Å, I 51
- 2θ = 75.65°, 1.257 Å, I 27


[11]
Starting from a structure optimized by DFT (GGA-PBE), the PXRD pattern of Be4Ir was computed for Cu Kα (weighted mean of Kα1 and Kα2).

```
data_Be4Ir
_cell_length_a 5.861
_cell_length_b 5.861
_cell_length_c 5.861
_cell_angle_alpha 90.00
_cell_angle_beta 90.00
_cell_angle_gamma 90.00
_symmetry_space_group_name_H-M 'P 1'
_symmetry_Int_Tables_number 1
loop_
_symmetry_equiv_pos_as_xyz
'x,y,z'
loop_
_atom_site_label
_atom_site_type_symbol
_atom_site_fract_x
_atom_site_fract_y
_atom_site_fract_z
Be1 Be 0.049 0.121 0.812
Be2 Be 0.050 0.950 0.450
Be3 Be 0.121 0.812 0.049
Be4 Be 0.188 0.549 0.379
Be5 Be 0.312 0.451 0.879
Be6 Be 0.379 0.188 0.549
Be7 Be 0.450 0.050 0.950
Be8 Be 0.451 0.879 0.312
Be9 Be 0.549 0.379 0.188
Be10 Be 0.550 0.550 0.550
Be11 Be 0.621 0.688 0.951
Be12 Be 0.688 0.951 0.621
Be13 Be 0.812 0.049 0.121
Be14 Be 0.879 0.312 0.451
Be15 Be 0.950 0.450 0.050
Be16 Be 0.951 0.621 0.688
Ir1 Ir 0.196 0.196 0.196
Ir2 Ir 0.304 0.804 0.696
Ir3 Ir 0.696 0.304 0.804
Ir4 Ir 0.804 0.696 0.304
```

Largest 10 diffraction maxima, in order of rising 2θ, 10 to 90 degrees two-theta:
- 2θ = 21.44°, 4.144 Å, I 36
- 2θ = 26.34°, 3.384 Å, I 100
- 2θ = 30.51°, 2.930 Å, I 43
- 2θ = 34.21°, 2.621 Å, I 42
- 2θ = 43.68°, 2.072 Å, I 22
- 2θ = 46.48°, 1.954 Å, I 29
- 2θ = 49.16°, 1.853 Å, I 30
- 2θ = 58.97°, 1.566 Å, I 33
- 2θ = 65.69°, 1.421 Å, I 25
- 2θ = 84.25°, 1.149 Å, I 22


[12]
Starting from a structure optimized by DFT (GGA-PBE), the PXRD pattern of Be7Ir4 was computed for Cu Kα (weighted mean of Kα1 and Kα2).

```
data_Be7Ir4
_cell_length_a 11.177
_cell_length_b 11.177
_cell_length_c 11.956
_cell_angle_alpha 103.45
_cell_angle_beta 103.45
_cell_angle_gamma 22.73
_symmetry_space_group_name_H-M 'P 1'
_symmetry_Int_Tables_number 1
loop_
_symmetry_equiv_pos_as_xyz
'x,y,z'
loop_
_atom_site_label
_atom_site_type_symbol
_atom_site_fract_x
_atom_site_fract_y
_atom_site_fract_z
Be1 Be 0.000 0.000 0.000
Be2 Be 0.000 0.500 0.000
Be3 Be 0.013 0.523 0.325
Be4 Be 0.079 0.079 0.906
Be5 Be 0.131 0.653 0.608
Be6 Be 0.164 0.654 0.933
Be7 Be 0.170 0.170 0.032
Be8 Be 0.181 0.680 0.255
Be9 Be 0.259 0.259 0.163
Be10 Be 0.310 0.310 0.639
Be11 Be 0.320 0.819 0.745
Be12 Be 0.329 0.329 0.466
Be13 Be 0.346 0.836 0.067
Be14 Be 0.347 0.869 0.392
Be15 Be 0.349 0.349 0.288
Be16 Be 0.399 0.399 0.772
Be17 Be 0.477 0.987 0.675
Be18 Be 0.480 0.480 0.686
Be19 Be 0.500 0.000 0.000
Be20 Be 0.520 0.520 0.314
Be21 Be 0.523 0.013 0.325
Be22 Be 0.601 0.601 0.228
Be23 Be 0.651 0.651 0.712
Be24 Be 0.653 0.131 0.608
Be25 Be 0.654 0.164 0.933
Be26 Be 0.671 0.671 0.534
Be27 Be 0.680 0.181 0.255
Be28 Be 0.690 0.690 0.361
Be29 Be 0.741 0.741 0.837
Be30 Be 0.819 0.320 0.745
Be31 Be 0.830 0.830 0.968
Be32 Be 0.836 0.346 0.067
Be33 Be 0.869 0.347 0.392
Be34 Be 0.921 0.921 0.094
Be35 Be 0.987 0.477 0.675
Ir1 Ir 0.009 0.009 0.400
Ir2 Ir 0.042 0.042 0.202
Ir3 Ir 0.121 0.121 0.591
Ir4 Ir 0.166 0.166 0.250
Ir5 Ir 0.176 0.176 0.818
Ir6 Ir 0.213 0.213 0.483
Ir7 Ir 0.304 0.304 0.855
Ir8 Ir 0.357 0.357 0.082
Ir9 Ir 0.439 0.439 0.451
Ir10 Ir 0.481 0.481 0.103
Ir11 Ir 0.519 0.519 0.897
Ir12 Ir 0.561 0.561 0.549
Ir13 Ir 0.643 0.643 0.918
Ir14 Ir 0.696 0.696 0.145
Ir15 Ir 0.787 0.787 0.517
Ir16 Ir 0.824 0.824 0.182
Ir17 Ir 0.834 0.834 0.750
Ir18 Ir 0.879 0.879 0.409
Ir19 Ir 0.958 0.958 0.798
Ir20 Ir 0.991 0.991 0.600
```

Largest 10 diffraction maxima, in order of rising 2θ, 10 to 90 degrees two-theta:
- 2θ = 22.97°, 3.872 Å, I 54
- 2θ = 24.05°, 3.700 Å, I 43
- 2θ = 25.09°, 3.549 Å, I 86
- 2θ = 26.30°, 3.389 Å, I 53
- 2θ = 40.97°, 2.203 Å, I 82
- 2θ = 42.93°, 2.107 Å, I 100
- 2θ = 43.34°, 2.088 Å, I 89
- 2θ = 45.79°, 1.982 Å, I 80
- 2θ = 46.64°, 1.948 Å, I 51
- 2θ = 47.95°, 1.897 Å, I 46


Q: Which formula does entry 8 have?
A: BeZnI4


Repeat the first record exactly.
Starting from a structure optimized by DFT (GGA-PBE), the PXRD pattern of Be2Hg was computed for Cu Kα (weighted mean of Kα1 and Kα2).

```
data_Be2Hg
_cell_length_a 4.775
_cell_length_b 4.775
_cell_length_c 4.775
_cell_angle_alpha 60.00
_cell_angle_beta 60.00
_cell_angle_gamma 60.00
_symmetry_space_group_name_H-M 'P 1'
_symmetry_Int_Tables_number 1
loop_
_symmetry_equiv_pos_as_xyz
'x,y,z'
loop_
_atom_site_label
_atom_site_type_symbol
_atom_site_fract_x
_atom_site_fract_y
_atom_site_fract_z
Be1 Be 0.000 0.000 0.000
Be2 Be 0.000 0.000 0.500
Be3 Be 0.000 0.500 0.000
Be4 Be 0.500 0.000 0.000
Hg1 Hg 0.375 0.375 0.375
Hg2 Hg 0.625 0.625 0.625
```

Largest 9 diffraction maxima, in order of rising 2θ, 10 to 90 degrees two-theta:
- 2θ = 22.81°, 3.899 Å, I 100
- 2θ = 37.68°, 2.388 Å, I 95
- 2θ = 44.50°, 2.036 Å, I 65
- 2θ = 54.34°, 1.688 Å, I 15
- 2θ = 59.68°, 1.549 Å, I 23
- 2θ = 68.01°, 1.378 Å, I 34
- 2θ = 72.77°, 1.300 Å, I 21
- 2θ = 80.45°, 1.194 Å, I 12
- 2θ = 84.96°, 1.141 Å, I 18